[1]
Starting from a crystal structure in Alexandria, relaxed with GGA-PBE, the powder diffractogram of LiSn6Os was simulated for Cu Ka.
No peak broadening, texture or thermal motion is included.

Atomic structure:
```
data_LiSn6Os
_cell_length_a 7.505
_cell_length_b 7.505
_cell_length_c 4.778
_cell_angle_alpha 108.50
_cell_angle_beta 108.50
_cell_angle_gamma 116.98
_symmetry_space_group_name_H-M 'P 1'
_symmetry_Int_Tables_number 1
_symmetry_space_group_name_Hall 'P 1'
loop_
_atom_site_label
_atom_site_fract_x
_atom_site_fract_y
_atom_site_fract_z
_atom_site_occupancy
Li1 0.000 0.000 0.000 1
Sn1 0.058 0.425 0.242 1
Sn2 0.256 0.256 0.756 1
Sn3 0.425 0.058 0.242 1
Sn4 0.575 0.942 0.758 1
Sn5 0.744 0.744 0.244 1
Sn6 0.942 0.575 0.758 1
Os1 0.500 0.500 0.500 1
```

Peak list (10 most intense, 2θ from 10° to 90°, in order of rising 2θ)
2θ 15.81, intensity 41
2θ 27.34, intensity 25
2θ 27.89, intensity 25
2θ 28.04, intensity 87
2θ 28.64, intensity 45
2θ 37.65, intensity 65
2θ 40.48, intensity 100
2θ 40.55, intensity 100
2θ 42.38, intensity 38
2θ 57.97, intensity 31

=====

[2]
Starting from a crystal structure in Alexandria, relaxed with GGA-PBE, the powder diffractogram of SrLi2Os was simulated for Cu Ka.
No peak broadening, texture or thermal motion is included.

Atomic structure:
```
data_SrLi2Os
_cell_length_a 2.796
_cell_length_b 4.078
_cell_length_c 7.474
_cell_angle_alpha 90.00
_cell_angle_beta 90.00
_cell_angle_gamma 90.00
_symmetry_space_group_name_H-M 'P 1'
_symmetry_Int_Tables_number 1
_symmetry_space_group_name_Hall 'P 1'
loop_
_atom_site_label
_atom_site_fract_x
_atom_site_fract_y
_atom_site_fract_z
_atom_site_occupancy
Sr1 0.000 0.000 0.000 1
Li1 0.000 0.000 0.589 1
Li2 0.500 0.500 0.392 1
Os1 0.500 0.500 0.741 1
```

Peak list (10 most intense, 2θ from 10° to 90°, in order of rising 2θ)
2θ 11.84, intensity 100
2θ 24.87, intensity 40
2θ 32.50, intensity 36
2θ 34.24, intensity 18
2θ 39.06, intensity 24
2θ 40.29, intensity 20
2θ 40.96, intensity 20
2θ 54.20, intensity 11
2θ 61.51, intensity 12
2θ 64.15, intensity 10

=====

[3]
Starting from a crystal structure in Alexandria, relaxed with GGA-PBE, the powder diffractogram of LiTeOs2 was simulated for Cu Ka.
No peak broadening, texture or thermal motion is included.

Atomic structure:
```
data_LiTeOs2
_cell_length_a 3.776
_cell_length_b 6.380
_cell_length_c 6.380
_cell_angle_alpha 26.08
_cell_angle_beta 90.00
_cell_angle_gamma 90.00
_symmetry_space_group_name_H-M 'P 1'
_symmetry_Int_Tables_number 1
_symmetry_space_group_name_Hall 'P 1'
loop_
_atom_site_label
_atom_site_fract_x
_atom_site_fract_y
_atom_site_fract_z
_atom_site_occupancy
Li1 0.000 0.000 0.000 1
Te1 0.500 0.388 0.388 1
Os1 0.000 0.208 0.208 1
Os2 0.500 0.622 0.622 1
```

Peak list (10 most intense, 2θ from 10° to 90°, in order of rising 2θ)
2θ 14.25, intensity 94
2θ 27.64, intensity 35
2θ 28.73, intensity 36
2θ 31.90, intensity 33
2θ 37.48, intensity 81
2θ 40.04, intensity 100
2θ 45.25, intensity 58
2θ 48.20, intensity 28
2θ 48.37, intensity 47
2θ 70.68, intensity 30

=====

[4]
Starting from a crystal structure in Alexandria, relaxed with GGA-PBE, the powder diffractogram of LiTeOs was simulated for Cu Ka.
No peak broadening, texture or thermal motion is included.

Atomic structure:
```
data_LiTeOs
_cell_length_a 4.419
_cell_length_b 4.419
_cell_length_c 3.237
_cell_angle_alpha 90.00
_cell_angle_beta 90.00
_cell_angle_gamma 120.00
_symmetry_space_group_name_H-M 'P 1'
_symmetry_Int_Tables_number 1
_symmetry_space_group_name_Hall 'P 1'
loop_
_atom_site_label
_atom_site_fract_x
_atom_site_fract_y
_atom_site_fract_z
_atom_site_occupancy
Li1 0.000 0.000 0.000 1
Te1 0.667 0.333 0.500 1
Os1 0.333 0.667 0.500 1
```

Peak list (10 most intense, 2θ from 10° to 90°, in order of rising 2θ)
2θ 23.24, intensity 100
2θ 27.56, intensity 81
2θ 36.35, intensity 72
2θ 40.84, intensity 91
2θ 49.98, intensity 95
2θ 55.81, intensity 21
2θ 71.43, intensity 20
2θ 72.38, intensity 34
2θ 74.36, intensity 16
2θ 81.02, intensity 23

=====

[5]
Starting from a crystal structure in Alexandria, relaxed with GGA-PBE, the powder diffractogram of LiTl2Os was simulated for Cu Ka.
No peak broadening, texture or thermal motion is included.

Atomic structure:
```
data_LiTl2Os
_cell_length_a 3.166
_cell_length_b 4.590
_cell_length_c 5.504
_cell_angle_alpha 90.00
_cell_angle_beta 90.00
_cell_angle_gamma 90.00
_symmetry_space_group_name_H-M 'P 1'
_symmetry_Int_Tables_number 1
_symmetry_space_group_name_Hall 'P 1'
loop_
_atom_site_label
_atom_site_fract_x
_atom_site_fract_y
_atom_site_fract_z
_atom_site_occupancy
Li1 0.000 0.000 0.000 1
Tl1 0.000 0.500 0.500 1
Tl2 0.500 0.500 0.000 1
Os1 0.500 0.000 0.500 1
```

Peak list (10 most intense, 2θ from 10° to 90°, in order of rising 2θ)
2θ 16.10, intensity 18
2θ 19.34, intensity 16
2θ 25.26, intensity 13
2θ 32.55, intensity 45
2θ 38.20, intensity 100
2θ 39.25, intensity 22
2θ 51.88, intensity 25
2θ 61.84, intensity 24
2θ 70.45, intensity 17
2θ 81.77, intensity 11

=====

[6]
Starting from a crystal structure in Alexandria, relaxed with GGA-PBE, the powder diffractogram of LiV3Os was simulated for Cu Ka.
No peak broadening, texture or thermal motion is included.

Atomic structure:
```
data_LiV3Os
_cell_length_a 4.629
_cell_length_b 4.629
_cell_length_c 4.629
_cell_angle_alpha 90.00
_cell_angle_beta 90.00
_cell_angle_gamma 90.00
_symmetry_space_group_name_H-M 'P 1'
_symmetry_Int_Tables_number 1
_symmetry_space_group_name_Hall 'P 1'
loop_
_atom_site_label
_atom_site_fract_x
_atom_site_fract_y
_atom_site_fract_z
_atom_site_occupancy
Li1 0.000 0.000 0.000 1
V1 0.000 0.500 0.500 1
V2 0.500 0.000 0.500 1
V3 0.500 0.500 0.000 1
Os1 0.500 0.500 0.500 1
```

Peak list (10 most intense, 2θ from 10° to 90°, in order of rising 2θ)
2θ 19.17, intensity 100
2θ 27.24, intensity 31
2θ 38.91, intensity 36
2θ 43.73, intensity 47
2θ 48.15, intensity 14
2θ 56.20, intensity 24
2θ 59.95, intensity 23
2θ 70.46, intensity 8
2θ 73.80, intensity 10
2θ 86.73, intensity 13